Diffraction record for CaAl2MoO6. The powder X-ray diffraction pattern is theoretical, not measured: it uses DFT lattice parameters and positions (GGA+U) and a wavelength of 1.5418 Å.
Intensities are scaled so that the largest is 100.

Most intense lines, 2θ = 15–90°, by angle:
| d [Å] | Position (°2θ) | I (rel.) | index |
| --- | --- | --- | --- |
| 4.932 | 17.99 | 100 | 1 1 -1 |
| 3.384 | 26.33 | 45 | 2 2 0 |
| 3.298 | 27.04 | 43 | 2 2 -1 |
| 3.257 | 27.38 | 18 | 3 1 -1 |
| 3.097 | 28.83 | 13 | 3 1 0 |
| 2.717 | 32.96 | 32 | 0 0 2 |
| 2.481 | 36.21 | 15 | 1 3 1 |
| 2.316 | 38.89 | 37 | 3 3 -1 |
| 1.762 | 51.89 | 19 | 5 3 -1 |
| 1.645 | 55.91 | 15 | 3 3 -3 |

Structure:
Lattice parameters (Å, degrees): 10.7050 9.3153 5.9054 90.00 113.03 90.00
Space group C2/c (No. 15)
One atom of each set of equivalent atoms:
Ca 0.0000 0.0988 0.2500 x4
Al 0.2017 0.4238 0.1554 x8
Mo 0.0000 0.2702 0.7500 x4
O 0.1004 0.2694 0.1156 x8
O 0.1210 0.1061 0.6933 x8
O 0.1525 0.4456 0.8253 x8